Calculated X-ray powder pattern
Compound: Li4Cr3Co2Sn3O16
Radiation: Cu Ka
Structure: a structure optimized by DFT (PBE+U)
No peak broadening, texture or thermal motion is included.

Structural model:
abc: 6.0817 6.0885 9.6674
angles: 89.10 88.77 60.21
Sites, in units of the cell vectors:
Li 0.0000 0.0000 0.0000
Li 0.0049 0.9743 0.4912
Li 0.3596 0.2955 0.5928
Li 0.6904 0.6156 0.1017
Cr 0.1839 0.1249 0.2831
Cr 0.6768 0.1251 0.2771
Cr 0.8531 0.3070 0.7770
Co 0.3652 0.2759 0.0056
Co 0.7051 0.6255 0.5029
Sn 0.1930 0.6149 0.2742
Sn 0.3594 0.7989 0.7787
Sn 0.8552 0.7951 0.7794
O 0.0167 0.9649 0.1823
O 0.0191 0.9781 0.6753
O 0.0656 0.4178 0.1521
O 0.1773 0.1361 0.8924
O 0.1787 0.6461 0.8999
O 0.3382 0.8126 0.3880
O 0.3512 0.2816 0.3882
O 0.4914 0.9986 0.1602
O 0.5142 0.4237 0.1501
O 0.5454 0.9323 0.6479
O 0.5534 0.4841 0.6454
O 0.6851 0.1377 0.8934
O 0.6893 0.6227 0.8939
O 0.8485 0.7954 0.3953
O 0.8673 0.2828 0.3817
O 0.9905 0.4779 0.6511

Largest 6 diffraction maxima, low angle first, 5 to 70 degrees two-theta:
- (0 0 2), 18.4 deg, I = 100
- (1 0 1), 19.0 deg, I = 53
- (0 1 -1), 19.2 deg, I = 49
- (0 2 1), 35.1 deg, I = 60
- (0 2 -1), 35.2 deg, I = 25
- (2 0 3), 44.0 deg, I = 29